Structure and computed powder X-ray diffraction pattern of Na2MgV2O6 (the PBE+U geometry in Alexandria; Cu Kα (λ = 1.5418 Å)).
Neutral-atom scattering factors, no anomalous dispersion.

Crystal structure
```
Na2MgV2O6
1.0
5.180 0.000 0.000
-2.590 4.486 0.000
0.000 0.000 5.717
Na Mg V O
2 1 2 6
Cartesian
0.000 2.991 0.000
2.590 1.495 0.000
0.000 0.000 2.858
0.000 2.991 2.858
2.590 1.495 2.858
-0.923 1.599 1.805
-1.667 2.887 3.912
1.846 0.000 1.805
0.923 1.599 3.912
3.334 0.000 3.912
1.667 2.887 1.805
```

Most intense lines, 5° ≤ 2θ ≤ 70°, low angle first:
hkl 0 0 1, 15.50°, I = 100; hkl 1 0 0, 19.79°, I = 37; hkl 0 0 2, 31.29°, I = 13; hkl 1 1 0, 34.63°, I = 41; hkl 1 0 2, 37.30°, I = 8; hkl 1 1 1, 38.15°, I = 35; hkl 1 1 2, 47.36°, I = 91; hkl 2 -1 3, 60.30°, I = 13; hkl 3 0 0, 62.07°, I = 26; hkl 3 0 1, 64.40°, I = 9